(1)
Diffraction record for CaIn6. The X-ray powder pattern is simulated, not measured: it uses a PBE-relaxed structure and Cu Kα.

Main lines, in order of rising 2θ (5° ≤ 2θ ≤ 70°):
index, 2θ (°), I (rel.)
0 0 1, 10.1, 18.1
1 1 1, 21.3, 22.8
2 0 1, 28.5, 54.2
2 1 1, 31.5, 61.4
1 1 3, 36.3, 100.0
2 2 0, 37.9, 20.9
2 0 3, 41.1, 35.4
3 1 0, 42.6, 30.3
3 1 4, 60.9, 16.5
3 3 3, 67.3, 21.8

Structure:
```
data_CaIn6
_chemical_formula_sum 'Ca2 In12'
_symmetry_space_group_name_H-M 'P 4/n b m'
_symmetry_Int_Tables_number 125
_cell_length_a 6.7179
_cell_length_b 6.7179
_cell_length_c 8.7191
_cell_angle_alpha 90.00
_cell_angle_beta 90.00
_cell_angle_gamma 90.00
loop_
_symmetry_equiv_pos_as_xyz
'x,y,z'
'-x,-y,-z'
'-y+1/2,x,z'
'y+1/2,-x,-z'
'-x+1/2,-y+1/2,z'
'x+1/2,y+1/2,-z'
'y,-x+1/2,z'
'-y,x+1/2,-z'
'x,-y+1/2,-z'
'-x,y+1/2,z'
'-y+1/2,-x+1/2,-z'
'y+1/2,x+1/2,z'
'-x+1/2,y,-z'
'x+1/2,-y,z'
'y,x,-z'
'-y,-x,z'
loop_
_atom_site_label
_atom_site_fract_x
_atom_site_fract_y
_atom_site_fract_z
Ca1 0.2500 0.7500 0.0000
In1 0.0794 0.5794 0.3534
In2 0.2500 0.2500 0.1611
```



(2)
Diffraction record for NdSmAg3. The X-ray powder pattern is simulated, not measured: it uses a PBE-relaxed structure and Cu Kα.

Main lines, in order of rising 2θ (5° ≤ 2θ ≤ 70°):
index, 2θ (°), I (rel.)
0 2 2, 31.4, 19.7
2 0 2, 31.8, 39.1
1 2 2, 33.5, 100.0
2 1 2, 33.8, 76.3
1 3 0, 35.7, 34.6
3 1 0, 36.5, 32.1
0 0 4, 44.4, 28.6
1 3 4, 58.3, 15.7
3 1 4, 58.8, 15.1
2 5 2, 67.6, 17.9

Structure:
```
data_NdSmAg3
_chemical_formula_sum 'Nd4 Sm4 Ag12'
_symmetry_space_group_name_H-M 'P n n m'
_symmetry_Int_Tables_number 58
_cell_length_a 7.7699
_cell_length_b 7.9630
_cell_length_c 8.1586
_cell_angle_alpha 90.00
_cell_angle_beta 90.00
_cell_angle_gamma 90.00
loop_
_symmetry_equiv_pos_as_xyz
'x,y,z'
'-x,-y,-z'
'-x,-y,z'
'x,y,-z'
'x+1/2,-y+1/2,-z+1/2'
'-x+1/2,y+1/2,z+1/2'
'-x+1/2,y+1/2,-z+1/2'
'x+1/2,-y+1/2,z+1/2'
loop_
_atom_site_label
_atom_site_fract_x
_atom_site_fract_y
_atom_site_fract_z
Nd1 0.1857 0.1648 0.0000
Sm1 0.1854 0.1617 0.5000
Ag1 0.0000 0.5000 0.2396
Ag2 0.1211 0.8677 0.2494
```



(3)
Diffraction record for RbTlTe. The X-ray powder pattern is simulated, not measured: it uses a PBE-relaxed structure and Cu Kα.

Main lines, in order of rising 2θ (5° ≤ 2θ ≤ 70°):
index, 2θ (°), I (rel.)
0 0 1, 9.7, 94.3
-1 1 1, 25.1, 100.0
0 1 -2, 27.0, 42.8
0 0 3, 29.3, 23.2
1 1 2, 29.5, 71.2
0 2 0, 31.9, 32.4
1 -1 2, 32.8, 57.0
2 0 0, 36.7, 31.5
0 2 3, 40.1, 20.1
-1 3 1, 51.9, 21.2

Structure:
```
data_RbTlTe
_chemical_formula_sum 'Rb2 Tl2 Te2'
_symmetry_space_group_name_H-M 'P -1'
_symmetry_Int_Tables_number 2
_cell_length_a 4.8912
_cell_length_b 5.6750
_cell_length_c 9.2672
_cell_angle_alpha 80.87
_cell_angle_beta 89.98
_cell_angle_gamma 89.98
loop_
_symmetry_equiv_pos_as_xyz
'x,y,z'
'-x,-y,-z'
loop_
_atom_site_label
_atom_site_fract_x
_atom_site_fract_y
_atom_site_fract_z
Rb1 0.2491 0.2772 0.3485
Tl1 0.2498 0.7268 0.0177
Te1 0.2505 0.1735 0.7547
```



(4)
Diffraction record for K4InBr6. The X-ray powder pattern is simulated, not measured: it uses a PBE-relaxed structure and Cu Kα.

Main lines, in order of rising 2θ (5° ≤ 2θ ≤ 70°):
index, 2θ (°), I (rel.)
1 1 0, 13.6, 64.3
2 1 2, 29.1, 95.0
1 0 3, 30.6, 39.8
3 1 0, 30.8, 100.0
3 1 1, 32.4, 19.7
0 0 4, 39.0, 18.3
3 0 3, 41.6, 20.2
4 2 0, 44.2, 22.6
3 2 3, 46.3, 27.2
3 1 4, 50.5, 21.9

Structure:
```
data_K4InBr6
_chemical_formula_sum 'K8 In2 Br12'
_symmetry_space_group_name_H-M 'P 4/m n c'
_symmetry_Int_Tables_number 128
_symmetry_space_group_name_Hall '-P 4 2n'
_cell_length_a 9.1652
_cell_length_b 9.1652
_cell_length_c 9.2442
_cell_angle_alpha 90.00
_cell_angle_beta 90.00
_cell_angle_gamma 90.00
loop_
_atom_site_label
_atom_site_fract_x
_atom_site_fract_y
_atom_site_fract_z
K1 0.1709 0.3291 0.2500
In1 0.0000 0.0000 0.0000
Br1 0.0000 0.0000 0.3077
Br2 0.1015 0.6859 0.0000
```



(5)
Diffraction record for KSbSe3. The X-ray powder pattern is simulated, not measured: it uses a PBE-relaxed structure and Cu Kα.

Main lines, in order of rising 2θ (5° ≤ 2θ ≤ 70°):
index, 2θ (°), I (rel.)
0 0 1, 9.1, 32.2
0 1 1, 17.0, 95.3
1 0 2, 24.7, 98.3
0 2 0, 29.0, 100.0
1 0 -3, 32.2, 42.4
2 0 -1, 34.8, 50.7
1 2 2, 38.5, 49.6
2 1 2, 41.2, 62.3
2 2 -1, 45.9, 38.7
0 2 4, 47.5, 30.5

Structure:
```
data_KSbSe3
_chemical_formula_sum 'K2 Sb2 Se6'
_symmetry_space_group_name_H-M 'P 1 21 1'
_symmetry_Int_Tables_number 4
_cell_length_a 5.3525
_cell_length_b 6.1501
_cell_length_c 9.7637
_cell_angle_alpha 90.00
_cell_angle_beta 90.03
_cell_angle_gamma 90.00
loop_
_symmetry_equiv_pos_as_xyz
'x,y,z'
'-x,y+1/2,-z'
loop_
_atom_site_label
_atom_site_fract_x
_atom_site_fract_y
_atom_site_fract_z
K1 0.2422 0.0000 0.1869
Sb1 0.2614 0.0134 0.6076
Se1 0.0012 0.5021 0.1509
Se2 0.2583 0.4361 0.5708
Se3 0.4896 0.4983 0.1514
```



(6)
Diffraction record for Na2CaP2O6. The X-ray powder pattern is simulated, not measured: it uses a PBE-relaxed structure and Cu Kα.

Main lines, in order of rising 2θ (5° ≤ 2θ ≤ 70°):
index, 2θ (°), I (rel.)
0 0 1, 14.4, 43.5
1 0 1, 23.3, 72.1
0 0 2, 29.0, 19.1
1 1 0, 31.9, 61.0
1 0 2, 34.4, 100.0
2 -1 1, 35.1, 41.1
2 0 1, 39.8, 14.3
0 2 2, 47.6, 32.8
3 0 0, 56.8, 25.5
3 -1 2, 58.4, 32.4

Structure:
```
data_Na2CaP2O6
_chemical_formula_sum 'Na2 Ca1 P2 O6'
_symmetry_space_group_name_H-M 'P -3'
_symmetry_Int_Tables_number 147
_cell_length_a 5.6167
_cell_length_b 5.6167
_cell_length_c 6.1681
_cell_angle_alpha 90.00
_cell_angle_beta 90.00
_cell_angle_gamma 120.00
loop_
_symmetry_equiv_pos_as_xyz
'x,y,z'
'-x,-y,-z'
'-y,x-y,z'
'y,-x+y,-z'
'-x+y,-x,z'
'x-y,x,-z'
loop_
_atom_site_label
_atom_site_fract_x
_atom_site_fract_y
_atom_site_fract_z
Na1 0.3333 0.6667 0.3524
Ca1 0.0000 0.0000 0.0000
P1 0.3333 0.6667 0.8415
O1 0.0961 0.7149 0.7678
```



(7)
Diffraction record for RuPb. The X-ray powder pattern is simulated, not measured: it uses a PBE-relaxed structure and Cu Kα.

Main lines, in order of rising 2θ (5° ≤ 2θ ≤ 70°):
index, 2θ (°), I (rel.)
1 0 1, 26.1, 25.3
1 0 4, 31.0, 100.0
0 1 5, 33.6, 55.7
0 0 9, 38.9, 17.8
1 0 7, 39.9, 14.8
1 1 0, 45.3, 52.5
0 1 11, 55.3, 11.4
0 2 4, 55.9, 19.1
2 0 5, 57.6, 12.3
1 1 9, 61.2, 28.6

Structure:
```
data_RuPb
_chemical_formula_sum 'Ru6 Pb6'
_symmetry_space_group_name_H-M 'R -3 m'
_symmetry_Int_Tables_number 166
_symmetry_space_group_name_Hall '-R 3 2"'
_cell_length_a 4.0010
_cell_length_b 4.0010
_cell_length_c 20.8274
_cell_angle_alpha 90.00
_cell_angle_beta 90.00
_cell_angle_gamma 120.00
loop_
_atom_site_label
_atom_site_fract_x
_atom_site_fract_y
_atom_site_fract_z
Ru1 0.0000 0.0000 0.1519
Pb1 0.0000 0.0000 0.3976
```



(8)
Diffraction record for Tl4Ni5. The X-ray powder pattern is simulated, not measured: it uses a PBE-relaxed structure and Cu Kα.

Main lines, in order of rising 2θ (5° ≤ 2θ ≤ 70°):
index, 2θ (°), I (rel.)
2 0 0, 26.3, 27.9
1 1 1, 27.7, 49.6
0 0 2, 31.8, 13.1
1 0 2, 34.5, 11.1
2 1 1, 38.6, 36.1
1 1 2, 39.4, 100.0
3 0 0, 39.9, 88.9
3 1 1, 51.2, 24.1
2 2 2, 57.3, 23.3
3 1 2, 59.1, 11.2

Structure:
```
data_Tl4Ni5
_chemical_formula_sum 'Tl8 Ni10'
_symmetry_space_group_name_H-M 'P 63/m c m'
_symmetry_Int_Tables_number 193
_symmetry_space_group_name_Hall '-P 6c 2'
_cell_length_a 7.8338
_cell_length_b 7.8338
_cell_length_c 5.6277
_cell_angle_alpha 90.00
_cell_angle_beta 90.00
_cell_angle_gamma 120.00
loop_
_atom_site_label
_atom_site_fract_x
_atom_site_fract_y
_atom_site_fract_z
Tl1 0.0000 0.0000 0.0000
Tl2 0.0000 0.3795 0.2500
Ni1 0.0000 0.2935 0.7500
Ni2 0.3333 0.6667 0.0000
```



(9)
Diffraction record for Li4SmAg2. The X-ray powder pattern is simulated, not measured: it uses a PBE-relaxed structure and Cu Kα.

Main lines, in order of rising 2θ (5° ≤ 2θ ≤ 70°):
index, 2θ (°), I (rel.)
1 1 0, 15.7, 80.7
1 0 1, 23.2, 27.3
1 1 1, 25.8, 95.7
2 2 0, 31.8, 72.0
2 1 1, 32.4, 100.0
3 0 1, 39.7, 57.3
0 0 2, 41.2, 25.1
3 1 1, 41.4, 41.7
2 2 2, 53.0, 33.0
5 2 1, 66.8, 32.1

Structure:
```
data_Li4SmAg2
_chemical_formula_sum 'Li8 Sm2 Ag4'
_symmetry_space_group_name_H-M 'P 42/m n m'
_symmetry_Int_Tables_number 136
_symmetry_space_group_name_Hall '-P 4n 2n'
_cell_length_a 7.9635
_cell_length_b 7.9635
_cell_length_c 4.3805
_cell_angle_alpha 90.00
_cell_angle_beta 90.00
_cell_angle_gamma 90.00
loop_
_atom_site_label
_atom_site_fract_x
_atom_site_fract_y
_atom_site_fract_z
Li1 0.0954 0.3489 0.0000
Sm1 0.0000 0.0000 0.5000
Ag1 0.2143 0.7857 0.0000
```



(10)
Diffraction record for Nd2TeN. The X-ray powder pattern is simulated, not measured: it uses a PBE-relaxed structure and Cu Kα.

Main lines, in order of rising 2θ (5° ≤ 2θ ≤ 70°):
index, 2θ (°), I (rel.)
0 2 0, 24.9, 14.2
2 1 1, 28.1, 48.4
0 1 2, 28.4, 16.5
1 2 -1, 29.9, 100.0
1 1 2, 30.6, 65.0
2 0 -2, 33.1, 49.6
3 1 0, 34.7, 39.7
0 1 3, 40.6, 15.9
2 3 1, 45.9, 25.5
0 3 3, 55.0, 13.3

Structure:
```
data_Nd2TeN
_chemical_formula_sum 'Nd8 Te4 N4'
_symmetry_space_group_name_H-M 'P 1 21/c 1'
_symmetry_Int_Tables_number 14
_cell_length_a 8.3168
_cell_length_b 7.1580
_cell_length_c 7.0115
_cell_angle_alpha 90.00
_cell_angle_beta 91.25
_cell_angle_gamma 90.00
loop_
_symmetry_equiv_pos_as_xyz
'x,y,z'
'-x,-y,-z'
'-x,y+1/2,-z+1/2'
'x,-y+1/2,z+1/2'
loop_
_atom_site_label
_atom_site_fract_x
_atom_site_fract_y
_atom_site_fract_z
Nd1 0.0849 0.1649 0.3564
Nd2 0.2938 0.6806 0.5406
Te1 0.3729 0.1053 0.6961
N1 0.1127 0.6692 0.8378
```



(11)
Diffraction record for Pu2Ga5Ru. The X-ray powder pattern is simulated, not measured: it uses a PBE-relaxed structure and Cu Kα.

Main lines, in order of rising 2θ (5° ≤ 2θ ≤ 70°):
index, 2θ (°), I (rel.)
0 2 1, 14.4, 18.9
0 2 2, 22.2, 26.4
1 1 2, 29.7, 18.8
1 3 2, 33.4, 100.0
1 5 0, 34.6, 68.8
1 1 3, 37.1, 30.9
0 0 4, 39.5, 18.4
2 0 0, 43.8, 30.0
0 8 2, 47.9, 22.4
1 5 4, 53.4, 17.3

Structure:
```
data_Pu2Ga5Ru
_chemical_formula_sum 'Pu8 Ga20 Ru4'
_symmetry_space_group_name_H-M 'C m c m'
_symmetry_Int_Tables_number 63
_symmetry_space_group_name_Hall '-C 2c 2'
_cell_length_a 4.1295
_cell_length_b 16.6910
_cell_length_c 9.1336
_cell_angle_alpha 90.00
_cell_angle_beta 90.00
_cell_angle_gamma 90.00
loop_
_atom_site_label
_atom_site_fract_x
_atom_site_fract_y
_atom_site_fract_z
Pu1 0.0000 0.0000 0.0000
Pu2 0.0000 0.1854 0.2500
Ga1 0.0000 0.1957 0.6098
Ga2 0.0000 0.3572 0.5199
Ga3 0.0000 0.4119 0.2500
Ru1 0.0000 0.4387 0.7500
```



(12)
Diffraction record for LiTiO2. The X-ray powder pattern is simulated, not measured: it uses a PBE-relaxed structure and Cu Kα.

Main lines, in order of rising 2θ (5° ≤ 2θ ≤ 70°):
index, 2θ (°), I (rel.)
0 0 3, 17.0, 100.0
0 0 6, 34.5, 3.0
1 0 1, 36.6, 33.3
0 1 2, 38.0, 29.8
1 0 4, 43.2, 33.2
0 1 5, 46.7, 43.5
1 0 7, 55.4, 25.9
0 1 8, 60.3, 11.8
1 1 0, 65.0, 20.4
1 1 3, 67.8, 10.5

Structure:
```
data_LiTiO2
_chemical_formula_sum 'Li3 Ti3 O6'
_symmetry_space_group_name_H-M 'R 3 m'
_symmetry_Int_Tables_number 160
_symmetry_space_group_name_Hall 'R 3 -2"'
_cell_length_a 2.8687
_cell_length_b 2.8687
_cell_length_c 15.6087
_cell_angle_alpha 90.00
_cell_angle_beta 90.00
_cell_angle_gamma 120.00
loop_
_atom_site_label
_atom_site_fract_x
_atom_site_fract_y
_atom_site_fract_z
Li1 0.0000 0.0000 0.0000
Ti1 0.0000 0.0000 0.1715
O1 0.0000 0.0000 0.4256
O2 0.0000 0.0000 0.5846
```



Copy entry 11 word for word.
Diffraction record for Pu2Ga5Ru. The X-ray powder pattern is simulated, not measured: it uses a PBE-relaxed structure and Cu Kα.

Main lines, in order of rising 2θ (5° ≤ 2θ ≤ 70°):
index, 2θ (°), I (rel.)
0 2 1, 14.4, 18.9
0 2 2, 22.2, 26.4
1 1 2, 29.7, 18.8
1 3 2, 33.4, 100.0
1 5 0, 34.6, 68.8
1 1 3, 37.1, 30.9
0 0 4, 39.5, 18.4
2 0 0, 43.8, 30.0
0 8 2, 47.9, 22.4
1 5 4, 53.4, 17.3

Structure:
```
data_Pu2Ga5Ru
_chemical_formula_sum 'Pu8 Ga20 Ru4'
_symmetry_space_group_name_H-M 'C m c m'
_symmetry_Int_Tables_number 63
_symmetry_space_group_name_Hall '-C 2c 2'
_cell_length_a 4.1295
_cell_length_b 16.6910
_cell_length_c 9.1336
_cell_angle_alpha 90.00
_cell_angle_beta 90.00
_cell_angle_gamma 90.00
loop_
_atom_site_label
_atom_site_fract_x
_atom_site_fract_y
_atom_site_fract_z
Pu1 0.0000 0.0000 0.0000
Pu2 0.0000 0.1854 0.2500
Ga1 0.0000 0.1957 0.6098
Ga2 0.0000 0.3572 0.5199
Ga3 0.0000 0.4119 0.2500
Ru1 0.0000 0.4387 0.7500
```



What did the ninth record say?
Diffraction record for Li4SmAg2. The X-ray powder pattern is simulated, not measured: it uses a PBE-relaxed structure and Cu Kα.

Main lines, in order of rising 2θ (5° ≤ 2θ ≤ 70°):
index, 2θ (°), I (rel.)
1 1 0, 15.7, 80.7
1 0 1, 23.2, 27.3
1 1 1, 25.8, 95.7
2 2 0, 31.8, 72.0
2 1 1, 32.4, 100.0
3 0 1, 39.7, 57.3
0 0 2, 41.2, 25.1
3 1 1, 41.4, 41.7
2 2 2, 53.0, 33.0
5 2 1, 66.8, 32.1

Structure:
```
data_Li4SmAg2
_chemical_formula_sum 'Li8 Sm2 Ag4'
_symmetry_space_group_name_H-M 'P 42/m n m'
_symmetry_Int_Tables_number 136
_symmetry_space_group_name_Hall '-P 4n 2n'
_cell_length_a 7.9635
_cell_length_b 7.9635
_cell_length_c 4.3805
_cell_angle_alpha 90.00
_cell_angle_beta 90.00
_cell_angle_gamma 90.00
loop_
_atom_site_label
_atom_site_fract_x
_atom_site_fract_y
_atom_site_fract_z
Li1 0.0954 0.3489 0.0000
Sm1 0.0000 0.0000 0.5000
Ag1 0.2143 0.7857 0.0000
```



Please write out number 4 again, unchanged.
Diffraction record for K4InBr6. The X-ray powder pattern is simulated, not measured: it uses a PBE-relaxed structure and Cu Kα.

Main lines, in order of rising 2θ (5° ≤ 2θ ≤ 70°):
index, 2θ (°), I (rel.)
1 1 0, 13.6, 64.3
2 1 2, 29.1, 95.0
1 0 3, 30.6, 39.8
3 1 0, 30.8, 100.0
3 1 1, 32.4, 19.7
0 0 4, 39.0, 18.3
3 0 3, 41.6, 20.2
4 2 0, 44.2, 22.6
3 2 3, 46.3, 27.2
3 1 4, 50.5, 21.9

Structure:
```
data_K4InBr6
_chemical_formula_sum 'K8 In2 Br12'
_symmetry_space_group_name_H-M 'P 4/m n c'
_symmetry_Int_Tables_number 128
_symmetry_space_group_name_Hall '-P 4 2n'
_cell_length_a 9.1652
_cell_length_b 9.1652
_cell_length_c 9.2442
_cell_angle_alpha 90.00
_cell_angle_beta 90.00
_cell_angle_gamma 90.00
loop_
_atom_site_label
_atom_site_fract_x
_atom_site_fract_y
_atom_site_fract_z
K1 0.1709 0.3291 0.2500
In1 0.0000 0.0000 0.0000
Br1 0.0000 0.0000 0.3077
Br2 0.1015 0.6859 0.0000
```